No. 1
Ga2P3H11O13: simulated X-ray powder pattern (Cu Kα), based on a DFT-relaxed cell (PBE, Alexandria).

Atomic structure:
```
Ga2P3H11O13
1.0
7.6572 0.0000 0.0000
0.0000 10.0199 0.0000
-2.9588 0.0000 7.9912
Ga P H O
4 6 22 26
direct
0.0681 0.0000 0.0272 Ga
0.4155 0.2275 0.6233 Ga
0.5845 0.7275 0.3767 Ga
0.9319 0.5000 0.9728 Ga
0.2049 0.2784 0.8960 P
0.2637 0.7207 0.0122 P
0.4584 0.0374 0.3398 P
0.5416 0.5374 0.6602 P
0.7363 0.2207 0.9878 P
0.7951 0.7784 0.1040 P
0.0428 0.2680 0.4516 H
0.0980 0.8400 0.3712 H
0.1398 0.1829 0.3393 H
0.1505 0.3979 0.2827 H
0.2362 0.5355 0.2303 H
0.2545 0.0559 0.7545 H
0.2543 0.9690 0.5925 H
0.2555 0.7619 0.5100 H
0.3243 0.3196 0.0546 H
0.3969 0.6885 0.9388 H
0.4481 0.5526 0.7747 H
0.5519 0.0526 0.2253 H
0.6031 0.1885 0.0612 H
0.6757 0.8196 0.9454 H
0.7445 0.2619 0.4900 H
0.7457 0.4690 0.4075 H
0.7455 0.5559 0.2455 H
0.7638 0.0355 0.7697 H
0.8495 0.8979 0.7173 H
0.8602 0.6829 0.6607 H
0.9020 0.3400 0.6288 H
0.9572 0.7680 0.5484 H
0.0232 0.3590 0.8529 O
0.0921 0.6347 0.9242 O
0.1457 0.4609 0.1917 O
0.1472 0.8211 0.4936 O
0.1569 0.2583 0.4194 O
0.1742 0.1262 0.9013 O
0.2307 0.8704 0.9771 O
0.2472 0.0536 0.2468 O
0.3026 0.3095 0.7704 O
0.3121 0.0467 0.6662 O
0.3466 0.6832 0.2001 O
0.4749 0.6547 0.5351 O
0.4881 0.4032 0.5711 O
0.5119 0.9032 0.4289 O
0.5251 0.1547 0.4649 O
0.6534 0.1832 0.7999 O
0.6879 0.5467 0.3338 O
0.6974 0.8095 0.2296 O
0.7528 0.5536 0.7532 O
0.7693 0.3704 0.0229 O
0.8258 0.6262 0.0987 O
0.8431 0.7583 0.5806 O
0.8528 0.3211 0.5064 O
0.8543 0.9609 0.8083 O
0.9079 0.1347 0.0758 O
0.9768 0.8590 0.1471 O
```

The 10 most intense peaks (2θ = 10–80°), in order of rising 2θ:
d = 6.601 Å, rel. 100.0; d = 6.248 Å, rel. 76.4; d = 5.837 Å, rel. 37.1; d = 5.512 Å, rel. 48.8; d = 4.605 Å, rel. 78.0; d = 4.109 Å, rel. 29.6; d = 3.992 Å, rel. 57.2; d = 2.980 Å, rel. 22.3; d = 2.934 Å, rel. 32.0; d = 2.756 Å, rel. 48.5

***

No. 2
PaMnP2Ru: simulated X-ray powder pattern (Cu Kα), based on a DFT-relaxed cell (PBE, Alexandria).

Atomic structure:
```
PaMnP2Ru
1.0
-2.0031 2.0031 4.7071
2.0031 -2.0031 4.7071
2.0031 2.0031 -4.7071
Pa Mn P Ru
1 1 2 1
direct
0.0000 0.0000 0.0000 Pa
0.7500 0.2500 0.5000 Mn
0.3727 0.3727 0.0000 P
0.6273 0.6273 0.0000 P
0.2500 0.7500 0.5000 Ru
```

The 10 most intense peaks (2θ = 10–80°), in order of rising 2θ:
d = 3.686 Å, rel. 69.9; d = 2.470 Å, rel. 54.0; d = 2.427 Å, rel. 100.0; d = 2.003 Å, rel. 38.1; d = 1.760 Å, rel. 19.5; d = 1.704 Å, rel. 17.1; d = 1.556 Å, rel. 26.4; d = 1.525 Å, rel. 17.2; d = 1.373 Å, rel. 17.1; d = 1.223 Å, rel. 22.7

***

No. 3
PmNd3Er2: simulated X-ray powder pattern (Cu Kα), based on a DFT-relaxed cell (PBE, Alexandria).

Atomic structure:
```
PmNd3Er2
1.0
4.5550 -4.9652 0.0000
4.5550 4.9652 0.0000
-1.9927 0.0000 8.8542
Pm Nd Er
2 6 4
direct
0.1065 0.8935 0.7500 Pm
0.8935 0.1065 0.2500 Pm
0.1471 0.3145 0.9834 Nd
0.3145 0.1471 0.4834 Nd
0.4373 0.5627 0.7500 Nd
0.5627 0.4373 0.2500 Nd
0.6855 0.8529 0.5166 Nd
0.8529 0.6855 0.0166 Nd
0.1213 0.6226 0.3781 Er
0.3774 0.8787 0.1219 Er
0.6226 0.1213 0.8781 Er
0.8787 0.3774 0.6219 Er
```

The 10 most intense peaks (2θ = 10–80°), in order of rising 2θ:
d = 2.887 Å, rel. 99.5; d = 2.876 Å, rel. 50.3; d = 2.860 Å, rel. 100.0; d = 2.840 Å, rel. 50.9; d = 2.035 Å, rel. 18.2; d = 2.022 Å, rel. 17.1; d = 1.655 Å, rel. 17.6; d = 1.651 Å, rel. 17.8; d = 1.644 Å, rel. 25.8; d = 1.509 Å, rel. 22.3

***

No. 4
Rb3MnTe3: simulated X-ray powder pattern (Cu Kα), based on a DFT-relaxed cell (PBE, Alexandria).

Atomic structure:
```
Rb3MnTe3
1.0
10.9700 -3.7893 0.0000
10.9700 3.7893 0.0000
0.0000 0.0000 14.6959
Rb Mn Te
12 4 12
direct
0.0056 0.3475 0.8708 Rb
0.1525 0.4944 0.6292 Rb
0.1653 0.8347 0.8446 Rb
0.3347 0.6653 0.3446 Rb
0.3475 0.0056 0.1292 Rb
0.4944 0.1525 0.3708 Rb
0.5056 0.8475 0.6292 Rb
0.6525 0.9944 0.8708 Rb
0.6653 0.3347 0.6554 Rb
0.8347 0.1653 0.1554 Rb
0.8475 0.5056 0.3708 Rb
0.9944 0.6525 0.1292 Rb
0.0832 0.0832 0.5000 Mn
0.4168 0.4168 0.0000 Mn
0.5832 0.5832 0.0000 Mn
0.9168 0.9168 0.5000 Mn
0.0173 0.6764 0.3853 Te
0.1764 0.5173 0.8853 Te
0.1875 0.8125 0.5927 Te
0.3125 0.6875 0.0927 Te
0.3236 0.9827 0.3853 Te
0.4827 0.8236 0.8853 Te
0.5173 0.1764 0.1147 Te
0.6764 0.0173 0.6147 Te
0.6875 0.3125 0.9073 Te
0.8125 0.1875 0.4073 Te
0.8236 0.4827 0.1147 Te
0.9827 0.3236 0.6147 Te
```

The 10 most intense peaks (2θ = 10–80°), in order of rising 2θ:
d = 6.439 Å, rel. 40.5; d = 3.674 Å, rel. 100.0; d = 3.657 Å, rel. 91.1; d = 3.480 Å, rel. 59.0; d = 3.050 Å, rel. 49.2; d = 3.012 Å, rel. 32.6; d = 2.891 Å, rel. 33.5; d = 2.638 Å, rel. 44.6; d = 2.631 Å, rel. 77.2; d = 2.592 Å, rel. 90.6

***

No. 5
Ta2Tl2PbO7: simulated X-ray powder pattern (Cu Kα), based on a DFT-relaxed cell (PBE, Alexandria).

Atomic structure:
```
Ta2Tl2PbO7
1.0
2.8425 -2.8337 0.0000
2.8425 2.8337 0.0000
-2.2315 0.0000 11.8585
Ta Tl Pb O
2 2 1 7
direct
0.0763 0.0763 0.1812 Ta
0.9237 0.9237 0.8188 Ta
0.3105 0.3105 0.6111 Tl
0.6895 0.6895 0.3889 Tl
0.5000 0.5000 0.0000 Pb
0.0000 0.0000 0.0000 O
0.0631 0.5654 0.1667 O
0.1278 0.1278 0.3399 O
0.4346 0.9369 0.8333 O
0.5654 0.0631 0.1667 O
0.8722 0.8722 0.6601 O
0.9369 0.4346 0.8333 O
```

The 10 most intense peaks (2θ = 10–80°), in order of rising 2θ:
d = 3.119 Å, rel. 100.0; d = 3.009 Å, rel. 92.9; d = 2.836 Å, rel. 85.7; d = 2.372 Å, rel. 25.0; d = 2.005 Å, rel. 40.7; d = 1.819 Å, rel. 19.8; d = 1.707 Å, rel. 17.3; d = 1.686 Å, rel. 20.9; d = 1.668 Å, rel. 17.3; d = 1.652 Å, rel. 16.9

***

No. 6
PrErTlCd: simulated X-ray powder pattern (Cu Kα), based on a DFT-relaxed cell (PBE, Alexandria).

Atomic structure:
```
PrErTlCd
1.0
-2.4110 2.4110 4.7934
2.4110 -2.4110 4.7934
2.4110 2.4110 -4.7934
Pr Er Tl Cd
1 1 1 1
direct
0.0000 0.0000 0.0000 Pr
0.5000 0.5000 0.0000 Er
0.2500 0.7500 0.5000 Tl
0.7500 0.2500 0.5000 Cd
```

The 10 most intense peaks (2θ = 10–80°), in order of rising 2θ:
d = 4.308 Å, rel. 5.7; d = 2.778 Å, rel. 100.0; d = 2.411 Å, rel. 33.7; d = 2.397 Å, rel. 16.6; d = 1.705 Å, rel. 11.8; d = 1.700 Å, rel. 23.3; d = 1.453 Å, rel. 27.6; d = 1.447 Å, rel. 13.6; d = 1.389 Å, rel. 11.9; d = 1.205 Å, rel. 3.8

***

No. 7
Cu13Ni2: simulated X-ray powder pattern (Cu Kα), based on a DFT-relaxed cell (PBE, Alexandria).

Atomic structure:
```
Cu13Ni2
1.0
4.4310 0.0000 0.0000
0.6822 5.6420 0.0000
2.1462 1.9927 7.0479
Cu Ni
13 2
direct
0.0000 0.0000 0.0000 Cu
0.0648 0.4024 0.7298 Cu
0.1997 0.1981 0.2021 Cu
0.2662 0.5996 0.9338 Cu
0.3319 0.0010 0.6649 Cu
0.4001 0.3998 0.4014 Cu
0.4663 0.7999 0.1354 Cu
0.5337 0.2001 0.8646 Cu
0.5999 0.6002 0.5986 Cu
0.6681 0.9990 0.3351 Cu
0.7338 0.4004 0.0662 Cu
0.8003 0.8019 0.7979 Cu
0.9352 0.5976 0.2702 Cu
0.1320 0.8033 0.4668 Ni
0.8680 0.1967 0.5332 Ni
```

The 9 most intense peaks (2θ = 10–80°), in order of rising 2θ:
d = 2.088 Å, rel. 100.0; d = 2.079 Å, rel. 98.7; d = 1.816 Å, rel. 31.6; d = 1.801 Å, rel. 30.6; d = 1.795 Å, rel. 30.4; d = 1.279 Å, rel. 17.8; d = 1.277 Å, rel. 17.8; d = 1.276 Å, rel. 8.8; d = 1.268 Å, rel. 8.6

***

No. 8
Mg2AlZn2Pd5: simulated X-ray powder pattern (Cu Kα), based on a DFT-relaxed cell (PBE, Alexandria).

Atomic structure:
```
Mg2AlZn2Pd5
1.0
9.4174 0.0000 0.0000
0.0000 9.4174 0.0000
0.0000 0.0000 3.6404
Mg Al Zn Pd
4 2 4 10
direct
0.1695 0.3305 0.0000 Mg
0.3305 0.8305 0.0000 Mg
0.6695 0.1695 0.0000 Mg
0.8305 0.6695 0.0000 Mg
0.0000 0.0000 0.0000 Al
0.5000 0.5000 0.0000 Al
0.1286 0.6286 0.0000 Zn
0.3714 0.1286 0.0000 Zn
0.6286 0.8714 0.0000 Zn
0.8714 0.3714 0.0000 Zn
0.0000 0.5000 0.5000 Pd
0.0804 0.8088 0.5000 Pd
0.1912 0.0804 0.5000 Pd
0.3088 0.5804 0.5000 Pd
0.4196 0.3088 0.5000 Pd
0.5000 0.0000 0.5000 Pd
0.5804 0.6912 0.5000 Pd
0.6912 0.4196 0.5000 Pd
0.8088 0.9196 0.5000 Pd
0.9196 0.1912 0.5000 Pd
```

The 10 most intense peaks (2θ = 10–80°), in order of rising 2θ:
d = 4.212 Å, rel. 42.4; d = 3.640 Å, rel. 27.9; d = 2.978 Å, rel. 13.9; d = 2.305 Å, rel. 100.0; d = 2.284 Å, rel. 30.7; d = 2.122 Å, rel. 51.2; d = 1.935 Å, rel. 23.9; d = 1.821 Å, rel. 28.1; d = 1.423 Å, rel. 13.5; d = 1.378 Å, rel. 19.8

***

No. 9
AgTe3I: simulated X-ray powder pattern (Cu Kα), based on a DFT-relaxed cell (PBE, Alexandria).

Atomic structure:
```
AgTe3I
1.0
16.5003 0.0000 0.0000
0.0000 5.1959 0.0000
0.0000 0.0000 8.7885
Ag Te I
4 12 4
direct
0.2500 0.1998 0.2500 Ag
0.2500 0.8002 0.7500 Ag
0.7500 0.1998 0.2500 Ag
0.7500 0.8002 0.7500 Ag
0.0000 0.1347 0.2189 Te
0.0000 0.8653 0.7811 Te
0.1267 0.1258 0.6426 Te
0.1267 0.8742 0.3574 Te
0.3733 0.1258 0.8574 Te
0.3733 0.8742 0.1426 Te
0.5000 0.1347 0.2811 Te
0.5000 0.8653 0.7189 Te
0.6267 0.1258 0.8574 Te
0.6267 0.8742 0.1426 Te
0.8733 0.1258 0.6426 Te
0.8733 0.8742 0.3574 Te
0.1813 0.5000 0.0000 I
0.3187 0.5000 0.5000 I
0.6813 0.5000 0.5000 I
0.8187 0.5000 0.0000 I
```

The 10 most intense peaks (2θ = 10–80°), in order of rising 2θ:
d = 5.196 Å, rel. 23.0; d = 4.396 Å, rel. 31.6; d = 4.317 Å, rel. 27.6; d = 3.470 Å, rel. 58.9; d = 3.355 Å, rel. 43.7; d = 3.288 Å, rel. 26.6; d = 3.089 Å, rel. 25.1; d = 3.032 Å, rel. 100.0; d = 2.586 Å, rel. 35.3; d = 2.133 Å, rel. 47.2

***

No. 10
La3BCCl3: simulated X-ray powder pattern (Cu Kα), based on a DFT-relaxed cell (PBE, Alexandria).

Atomic structure:
```
La3BCCl3
1.0
8.3833 0.0000 0.0000
0.0000 3.7681 0.0000
-2.0044 0.0000 11.2584
La B C Cl
6 2 2 6
direct
0.1108 0.2500 0.3164 La
0.2036 0.2500 0.8918 La
0.2903 0.7500 0.6107 La
0.7097 0.2500 0.3893 La
0.7964 0.7500 0.1082 La
0.8892 0.7500 0.6836 La
0.0356 0.2500 0.5402 B
0.9644 0.7500 0.4598 B
0.1014 0.2500 0.6793 C
0.8986 0.7500 0.3207 C
0.1474 0.7500 0.0955 Cl
0.4069 0.7500 0.3765 Cl
0.4566 0.7500 0.8610 Cl
0.5434 0.2500 0.1390 Cl
0.5931 0.2500 0.6235 Cl
0.8526 0.2500 0.9045 Cl
```

The 10 most intense peaks (2θ = 10–80°), in order of rising 2θ:
d = 8.254 Å, rel. 33.8; d = 4.123 Å, rel. 35.7; d = 3.212 Å, rel. 75.1; d = 3.131 Å, rel. 100.0; d = 2.837 Å, rel. 38.1; d = 2.815 Å, rel. 55.3; d = 2.783 Å, rel. 69.4; d = 2.621 Å, rel. 75.9; d = 2.571 Å, rel. 48.3; d = 1.803 Å, rel. 35.4

***

No. 11
Ag2Se2O7: simulated X-ray powder pattern (Cu Kα), based on a DFT-relaxed cell (PBE, Alexandria).

Atomic structure:
```
Ag2Se2O7
1.0
5.0616 0.0000 0.0000
0.0000 11.5824 0.0000
-0.6594 0.0000 6.0094
Ag Se O
4 4 14
direct
0.0974 0.1515 0.3996 Ag
0.0974 0.3485 0.8996 Ag
0.9026 0.6515 0.1004 Ag
0.9026 0.8485 0.6004 Ag
0.3612 0.6131 0.6585 Se
0.3612 0.8869 0.1585 Se
0.6388 0.1131 0.8415 Se
0.6388 0.3869 0.3415 Se
0.1450 0.6819 0.4764 O
0.1450 0.8181 0.9764 O
0.2160 0.5449 0.8557 O
0.2160 0.9551 0.3557 O
0.3800 0.1931 0.7423 O
0.3800 0.3069 0.2423 O
0.5000 0.0000 0.0000 O
0.5000 0.5000 0.5000 O
0.6200 0.6931 0.7577 O
0.6200 0.8069 0.2577 O
0.7840 0.0449 0.6443 O
0.7840 0.4551 0.1443 O
0.8550 0.1819 0.0236 O
0.8550 0.3181 0.5236 O
```

The 10 most intense peaks (2θ = 10–80°), in order of rising 2θ:
d = 3.495 Å, rel. 61.4; d = 3.337 Å, rel. 100.0; d = 2.908 Å, rel. 29.8; d = 2.896 Å, rel. 21.1; d = 2.658 Å, rel. 18.0; d = 2.460 Å, rel. 17.9; d = 2.107 Å, rel. 10.0; d = 1.835 Å, rel. 10.8; d = 1.833 Å, rel. 10.4; d = 1.516 Å, rel. 11.5